(1)
For Rb2Ce2Se5, DFT lattice parameters and positions (GGA-PBE) gives the simulated PXRD pattern in this record (copper Kα).
Intensities are scaled so that the largest is 1000.

Cell and atoms:
Lattice parameters (Å, degrees): 9.330 9.330 8.098 90.00 90.00 51.38
Sites, in units of the cell vectors:
Rb (0.205, 0.205, 0.000)
Rb (0.295, 0.295, 0.500)
Rb (0.705, 0.705, 0.500)
Rb (0.795, 0.795, 0.000)
Ce (0.164, 0.836, 0.664)
Ce (0.336, 0.664, 0.164)
Ce (0.664, 0.336, 0.836)
Ce (0.836, 0.164, 0.336)
Se (0.000, 0.000, 0.000)
Se (0.034, 0.747, 0.357)
Se (0.247, 0.534, 0.857)
Se (0.253, 0.966, 0.357)
Se (0.466, 0.753, 0.857)
Se (0.500, 0.500, 0.500)
Se (0.534, 0.247, 0.143)
Se (0.747, 0.034, 0.643)
Se (0.753, 0.466, 0.143)
Se (0.966, 0.253, 0.643)

Largest 12 diffraction maxima, by intensity, 2θ = 10–80°:
2θ/deg, I (rel.)
10.52, 1000
35.48, 989
32.65, 698
36.46, 539
29.37, 514
30.84, 376
24.41, 351
40.72, 297
61.44, 296
31.26, 228
50.42, 163
26.82, 162

***

(2)
For Zr5Tc3, DFT lattice parameters and positions (GGA-PBE) gives the simulated PXRD pattern in this record (copper Kα).
Intensities are scaled so that the largest is 1000.

Cell and atoms:
Lattice parameters (Å, degrees): 3.328 3.328 13.837 90.00 90.00 90.00
Sites, in units of the cell vectors:
Zr (0.000, 0.000, 0.000)
Zr (0.000, 0.000, 0.231)
Zr (0.000, 0.000, 0.769)
Zr (0.500, 0.500, 0.386)
Zr (0.500, 0.500, 0.614)
Tc (0.000, 0.000, 0.500)
Tc (0.500, 0.500, 0.122)
Tc (0.500, 0.500, 0.878)

Largest 12 diffraction maxima, by intensity, 2θ = 10–80°:
2θ/deg, I (rel.)
37.50, 1000
38.24, 509
68.64, 322
55.19, 171
67.17, 138
52.94, 72
53.95, 28
19.24, 28
47.99, 19
43.15, 13
12.80, 13
67.06, 10

***

(3)
For Pr3Zn7Ni2, DFT lattice parameters and positions (GGA-PBE) gives the simulated PXRD pattern in this record (copper Kα).
Intensities are scaled so that the largest is 1000.

Cell and atoms:
Lattice parameters (Å, degrees): 9.011 9.011 9.011 35.77 35.77 35.77
Sites, in units of the cell vectors:
Pr (0.000, 0.000, 0.000)
Pr (0.151, 0.151, 0.151)
Pr (0.849, 0.849, 0.849)
Zn (0.086, 0.571, 0.571)
Zn (0.429, 0.429, 0.914)
Zn (0.429, 0.914, 0.429)
Zn (0.500, 0.500, 0.500)
Zn (0.571, 0.086, 0.571)
Zn (0.571, 0.571, 0.086)
Zn (0.914, 0.429, 0.429)
Ni (0.331, 0.331, 0.331)
Ni (0.669, 0.669, 0.669)

Largest 12 diffraction maxima, by intensity, 2θ = 10–80°:
2θ/deg, I (rel.)
38.94, 1000
32.35, 384
31.01, 332
37.71, 327
62.14, 245
67.72, 200
42.94, 162
33.98, 138
61.41, 133
64.64, 115
56.86, 113
38.23, 94